Starting from the PBE geometry in Alexandria, the X-ray powder pattern of Tl5Si was computed for Cu Kα.

Principal peaks in the range 2θ = 10–90°, sorted by position:
2θ 20.53, I 11; 2θ 26.17, I 13; 2θ 31.00, I 18; 2θ 32.44, I 30; 2θ 32.95, I 100; 2θ 45.49, I 13; 2θ 49.03, I 10; 2θ 58.19, I 20; 2θ 60.02, I 11; 2θ 64.13, I 10

Structure:
Cell: 5.519 3.716 17.306 Å, 90.00 90.00 90.00°
Positions (direct):
Tl 0.000 0.000 0.000
Tl 0.000 0.000 0.267
Tl 0.000 0.500 0.500
Tl 0.000 0.500 0.767
Tl 0.500 0.000 0.134
Tl 0.500 0.000 0.468
Tl 0.500 0.000 0.803
Tl 0.500 0.500 0.303
Tl 0.500 0.500 0.634
Tl 0.500 0.500 0.968
Si 0.000 0.000 0.633
Si 0.000 0.500 0.133



Starting from the PBE geometry in Alexandria, the X-ray powder pattern of SmErFe was computed for Cu Kα.

Principal peaks in the range 2θ = 10–90°, sorted by position:
2θ 27.58, I 91; 2θ 33.94, I 100; 2θ 38.04, I 64; 2θ 44.31, I 46; 2θ 47.66, I 32; 2θ 54.88, I 22; 2θ 62.52, I 27; 2θ 66.12, I 28; 2θ 70.65, I 20; 2θ 73.09, I 20

Structure:
Cell: 3.346 3.346 12.912 Å, 90.00 90.00 90.00°
Positions (direct):
Sm 0.000 0.000 0.000
Sm 0.500 0.500 0.500
Er 0.000 0.000 0.749
Er 0.500 0.500 0.249
Fe 0.000 0.000 0.370
Fe 0.500 0.500 0.870



Starting from the PBE geometry in Alexandria, the X-ray powder pattern of ZnRh2 was computed for Cu Kα.

Principal peaks in the range 2θ = 10–90°, sorted by position:
2θ 37.72, I 52; 2θ 42.04, I 48; 2θ 43.32, I 100; 2θ 43.47, I 98; 2θ 57.63, I 14; 2θ 68.10, I 33; 2θ 77.60, I 17; 2θ 83.16, I 12; 2θ 83.30, I 12; 2θ 84.18, I 14

Structure:
Cell: 9.805 2.756 6.436 Å, 90.00 103.16 90.00°
Positions (direct):
Zn 0.000 0.000 0.000
Zn 0.179 0.500 0.346
Zn 0.500 0.500 0.000
Zn 0.679 0.000 0.346
Rh 0.118 0.500 0.729
Rh 0.279 0.000 0.062
Rh 0.342 0.000 0.673
Rh 0.455 0.500 0.389
Rh 0.618 0.000 0.729
Rh 0.779 0.500 0.062
Rh 0.842 0.500 0.673
Rh 0.955 0.000 0.389



Starting from the PBE geometry in Alexandria, the X-ray powder pattern of Zr4Sc5N10 was computed for Cu Kα.

Principal peaks in the range 2θ = 10–90°, sorted by position:
2θ 21.60, I 20; 2θ 23.31, I 14; 2θ 34.18, I 100; 2θ 39.44, I 82; 2θ 40.13, I 38; 2θ 57.00, I 24; 2θ 57.52, I 48; 2θ 68.16, I 27; 2θ 69.11, I 14; 2θ 71.98, I 22

Structure:
Cell: 5.583 5.583 10.215 Å, 90.02 90.02 47.46°
Positions (direct):
Zr 0.094 0.094 0.196
Zr 0.198 0.198 0.903
Zr 0.802 0.802 0.097
Zr 0.906 0.906 0.804
Sc 0.000 0.000 0.500
Sc 0.302 0.302 0.597
Sc 0.400 0.400 0.300
Sc 0.600 0.600 0.700
Sc 0.698 0.698 0.403
N 0.000 0.000 0.000
N 0.100 0.100 0.702
N 0.199 0.199 0.401
N 0.286 0.286 0.104
N 0.395 0.395 0.787
N 0.500 0.500 0.500
N 0.605 0.605 0.213
N 0.714 0.714 0.896
N 0.801 0.801 0.599
N 0.900 0.900 0.298



Starting from the PBE geometry in Alexandria, the X-ray powder pattern of Ce3V2N7 was computed for Cu Kα.

Principal peaks in the range 2θ = 10–90°, sorted by position:
2θ 24.18, I 42; 2θ 26.31, I 34; 2θ 31.91, I 100; 2θ 33.89, I 98; 2θ 36.03, I 86; 2θ 40.44, I 73; 2θ 46.92, I 34; 2θ 60.14, I 39; 2θ 60.54, I 38; 2θ 60.99, I 42

Structure:
Cell: 10.346 10.346 3.680 Å, 90.00 90.00 158.42°
Positions (direct):
Ce 0.000 0.000 0.000
Ce 0.180 0.820 0.000
Ce 0.820 0.180 0.000
V 0.404 0.596 0.500
V 0.596 0.404 0.500
N 0.094 0.906 0.500
N 0.299 0.701 0.500
N 0.394 0.606 0.000
N 0.500 0.500 0.500
N 0.606 0.394 0.000
N 0.701 0.299 0.500
N 0.906 0.094 0.500



Starting from the PBE geometry in Alexandria, the X-ray powder pattern of UZnGaTc was computed for Cu Kα.

Principal peaks in the range 2θ = 10–90°, sorted by position:
2θ 23.51, I 26; 2θ 27.21, I 9; 2θ 38.86, I 100; 2θ 45.92, I 14; 2θ 56.13, I 17; 2θ 61.68, I 6; 2θ 70.36, I 35; 2θ 75.34, I 5; 2θ 83.41, I 11; 2θ 88.18, I 5

Structure:
Cell: 6.555 6.555 6.555 Å, 90.00 90.00 90.00°
Positions (direct):
U 0.000 0.000 0.000
U 0.000 0.500 0.500
U 0.500 0.000 0.500
U 0.500 0.500 0.000
Zn 0.250 0.250 0.750
Zn 0.250 0.750 0.250
Zn 0.750 0.250 0.250
Zn 0.750 0.750 0.750
Ga 0.000 0.000 0.500
Ga 0.000 0.500 0.000
Ga 0.500 0.000 0.000
Ga 0.500 0.500 0.500
Tc 0.250 0.250 0.250
Tc 0.250 0.750 0.750
Tc 0.750 0.250 0.750
Tc 0.750 0.750 0.250



Starting from the PBE geometry in Alexandria, the X-ray powder pattern of Tb4Sn8Pd was computed for Cu Kα.

Principal peaks in the range 2θ = 10–90°, sorted by position:
2θ 31.11, I 14; 2θ 32.66, I 100; 2θ 32.95, I 12; 2θ 35.52, I 8; 2θ 37.37, I 10; 2θ 40.79, I 19; 2θ 41.03, I 19; 2θ 59.25, I 13; 2θ 69.15, I 12; 2θ 69.48, I 12

Structure:
Cell: 4.399 4.424 17.247 Å, 90.00 90.00 90.00°
Positions (direct):
Tb 0.000 0.000 0.000
Tb 0.000 0.500 0.481
Tb 0.500 0.000 0.786
Tb 0.500 0.500 0.288
Sn 0.000 0.000 0.320
Sn 0.000 0.000 0.620
Sn 0.000 0.500 0.142
Sn 0.000 0.500 0.858
Sn 0.500 0.000 0.146
Sn 0.500 0.000 0.439
Sn 0.500 0.500 0.618
Sn 0.500 0.500 0.971
Pd 0.000 0.500 0.709



Starting from the PBE geometry in Alexandria, the X-ray powder pattern of DyYNO was computed for Cu Kα.

Principal peaks in the range 2θ = 10–90°, sorted by position:
2θ 15.66, I 16; 2θ 31.63, I 31; 2θ 31.89, I 91; 2θ 36.91, I 100; 2θ 53.02, I 33; 2θ 53.36, I 34; 2θ 63.37, I 27; 2θ 63.53, I 13; 2θ 66.65, I 17; 2θ 89.86, I 14

Structure:
Cell: 3.434 3.434 16.972 Å, 90.00 90.00 120.00°
Positions (direct):
Dy 0.000 0.000 0.000
Dy 0.333 0.667 0.667
Dy 0.667 0.333 0.333
Y 0.000 0.000 0.507
Y 0.333 0.667 0.174
Y 0.667 0.333 0.840
N 0.000 0.000 0.254
N 0.333 0.667 0.921
N 0.667 0.333 0.587
O 0.000 0.000 0.753
O 0.333 0.667 0.420
O 0.667 0.333 0.086



Starting from the PBE geometry in Alexandria, the X-ray powder pattern of TlAg2Br2Cl was computed for Cu Kα.

Principal peaks in the range 2θ = 10–90°, sorted by position:
2θ 13.55, I 90; 2θ 21.57, I 98; 2θ 22.58, I 73; 2θ 26.04, I 96; 2θ 27.17, I 100; 2θ 30.91, I 79; 2θ 31.29, I 68; 2θ 32.58, I 73; 2θ 35.33, I 84; 2θ 41.59, I 96

Structure:
Cell: 8.142 5.812 8.665 Å, 90.00 102.34 90.00°
Positions (direct):
Tl 0.201 0.250 0.391
Tl 0.799 0.750 0.609
Ag 0.337 0.001 0.823
Ag 0.337 0.499 0.823
Ag 0.663 0.501 0.177
Ag 0.663 0.999 0.177
Br 0.055 0.250 0.725
Br 0.384 0.750 0.570
Br 0.616 0.250 0.430
Br 0.945 0.750 0.275
Cl 0.371 0.750 0.086
Cl 0.629 0.250 0.914



Starting from the PBE geometry in Alexandria, the X-ray powder pattern of Cu6Ag4F19 was computed for Cu Kα.

Principal peaks in the range 2θ = 10–90°, sorted by position:
2θ 23.44, I 100; 2θ 30.41, I 95; 2θ 33.39, I 32; 2θ 36.16, I 42; 2θ 41.20, I 49; 2θ 47.95, I 18; 2θ 50.03, I 53; 2θ 54.03, I 38; 2θ 59.69, I 34; 2θ 75.10, I 14

Structure:
Cell: 8.050 8.050 8.050 Å, 109.47 109.47 109.47°
Positions (direct):
Cu 0.159 0.659 0.500
Cu 0.341 0.500 0.841
Cu 0.500 0.159 0.659
Cu 0.500 0.841 0.341
Cu 0.659 0.500 0.159
Cu 0.841 0.341 0.500
Ag 0.000 0.000 0.706
Ag 0.000 0.706 0.000
Ag 0.294 0.294 0.294
Ag 0.706 0.000 0.000
F 0.000 0.000 0.000
F 0.000 0.353 0.353
F 0.000 0.647 0.647
F 0.047 0.315 0.691
F 0.267 0.953 0.644
F 0.309 0.623 0.356
F 0.315 0.691 0.047
F 0.353 0.000 0.353
F 0.353 0.353 0.000
F 0.356 0.309 0.623
F 0.377 0.685 0.733
F 0.623 0.356 0.309
F 0.644 0.267 0.953
F 0.647 0.000 0.647
F 0.647 0.647 0.000
F 0.685 0.733 0.377
F 0.691 0.047 0.315
F 0.733 0.377 0.685
F 0.953 0.644 0.267



Starting from the PBE geometry in Alexandria, the X-ray powder pattern of DyIr4Pb was computed for Cu Kα.

Principal peaks in the range 2θ = 10–90°, sorted by position:
2θ 20.23, I 7; 2θ 33.33, I 26; 2θ 39.30, I 100; 2θ 41.12, I 42; 2θ 47.85, I 5; 2θ 59.56, I 10; 2θ 63.58, I 33; 2θ 69.99, I 29; 2θ 83.34, I 12; 2θ 84.52, I 16

Structure:
Cell: 5.377 5.377 5.377 Å, 60.00 60.00 60.00°
Positions (direct):
Dy 0.000 0.000 0.000
Ir 0.126 0.625 0.625
Ir 0.625 0.126 0.625
Ir 0.625 0.625 0.126
Ir 0.625 0.625 0.625
Pb 0.250 0.250 0.250



Starting from the PBE geometry in Alexandria, the X-ray powder pattern of Cu3SnF8 was computed for Cu Kα.

Principal peaks in the range 2θ = 10–90°, sorted by position:
2θ 18.42, I 100; 2θ 22.97, I 61; 2θ 32.77, I 17; 2θ 33.22, I 49; 2θ 34.22, I 14; 2θ 35.67, I 36; 2θ 37.33, I 13; 2θ 43.12, I 52; 2θ 56.28, I 15; 2θ 57.16, I 37

Structure:
Cell: 5.733 5.733 6.509 Å, 90.00 90.00 122.82°
Positions (direct):
Cu 0.000 0.000 0.000
Cu 0.000 0.500 0.779
Cu 0.500 0.000 0.221
Sn 0.000 0.000 0.500
F 0.195 0.805 0.000
F 0.202 0.798 0.500
F 0.232 0.270 0.722
F 0.270 0.232 0.278
F 0.730 0.768 0.278
F 0.768 0.730 0.722
F 0.798 0.202 0.500
F 0.805 0.195 0.000



Starting from the PBE geometry in Alexandria, the X-ray powder pattern of ScFe2Br was computed for Cu Kα.

Principal peaks in the range 2θ = 10–90°, sorted by position:
2θ 27.27, I 28; 2θ 28.56, I 43; 2θ 31.73, I 100; 2θ 39.90, I 73; 2θ 41.41, I 15; 2θ 50.58, I 60; 2θ 51.08, I 41; 2θ 58.41, I 18; 2θ 67.36, I 19; 2θ 79.41, I 17

Structure:
Cell: 3.609 3.609 6.541 Å, 90.00 90.00 120.00°
Positions (direct):
Sc 0.000 0.000 0.000
Fe 0.333 0.667 0.672
Fe 0.667 0.333 0.757
Br 0.333 0.667 0.292



Starting from the PBE geometry in Alexandria, the X-ray powder pattern of TbNb4Ge2 was computed for Cu Kα.

Principal peaks in the range 2θ = 10–90°, sorted by position:
2θ 31.15, I 15; 2θ 35.60, I 12; 2θ 35.75, I 100; 2θ 37.80, I 13; 2θ 41.63, I 12; 2θ 42.49, I 23; 2θ 49.23, I 15; 2θ 58.46, I 12; 2θ 67.02, I 12; 2θ 73.36, I 12

Structure:
Cell: 3.702 17.225 4.255 Å, 90.00 90.00 90.00°
Positions (direct):
Tb 0.000 0.000 0.000
Tb 0.500 0.500 0.000
Nb 0.000 0.182 0.500
Nb 0.000 0.324 0.000
Nb 0.000 0.676 0.000
Nb 0.000 0.818 0.500
Nb 0.500 0.176 0.000
Nb 0.500 0.318 0.500
Nb 0.500 0.682 0.500
Nb 0.500 0.824 0.000
Ge 0.000 0.428 0.500
Ge 0.000 0.572 0.500
Ge 0.500 0.072 0.500
Ge 0.500 0.928 0.500